Starting from a cell relaxed with GGA-PBE, the PXRD pattern of MgAu3 was calculated for CuKα.
Kinematic intensities with the Lorentz-polarization factor, no thermal factor.

Unit cell a=5.903 b=20.210 c=9.601 alpha=90.00 beta=90.00 gamma=90.00
Space group Cmcm (No. 63)
Inequivalent atoms, fractional coordinates:
1 Mg 0.000 0.041 0.250
2 Mg 0.000 0.207 0.750
3 Mg 0.000 0.376 0.001
4 Au 0.000 0.126 0.001
5 Au 0.000 0.292 0.250
6 Au 0.000 0.456 0.750
7 Au 0.248 0.000 0.000
8 Au 0.248 0.333 0.750
9 Au 0.250 0.084 0.750
10 Au 0.250 0.250 0.000

Main lines, sorted by position (10° ≤ 2θ ≤ 90°):
hkl, 2θ (°), I (rel.)
1 1 2, 24.30, 22
2 4 1, 36.48, 44
0 8 1, 36.79, 21
0 0 4, 37.47, 54
2 4 2, 40.06, 100
0 8 2, 40.34, 51
2 4 3, 45.50, 24
2 12 0, 63.61, 24
2 4 6, 69.34, 20
2 12 4, 76.22, 28